No. 1
Theoretical X-ray powder pattern of Ca5In2P6 for Cu Kα (λ = 1.5418 Å), from a structure optimized by DFT (PBE).

Peak list (6 most intense, 10 to 90 degrees two-theta, in order of rising 2θ)
- 2θ = 13.5°, intensity 50
- 2θ = 26.5°, intensity 51
- 2θ = 27.5°, intensity 51
- 2θ = 32.6°, intensity 52
- 2θ = 33.7°, intensity 100
- 2θ = 38.3°, intensity 63

Structure:
Cell lengths 11.2409, 13.0819, 4.1756 Å; angles 90.00, 90.00, 90.00 degrees
Sites, in units of the cell vectors:
Ca 0.0000 0.0000 0.0000
Ca 0.0880 0.2529 0.0000
Ca 0.1805 0.5110 0.0000
Ca 0.3195 0.0110 0.0000
Ca 0.4120 0.7529 0.0000
Ca 0.5000 0.5000 0.0000
Ca 0.5880 0.2471 0.0000
Ca 0.6805 0.9890 0.0000
Ca 0.8195 0.4890 0.0000
Ca 0.9120 0.7471 0.0000
In 0.1666 0.7159 0.5000
In 0.3335 0.2159 0.5000
In 0.6666 0.7841 0.5000
In 0.8334 0.2841 0.5000
P 0.0260 0.4160 0.5000
P 0.1510 0.0988 0.5000
P 0.1607 0.8273 0.0000
P 0.3393 0.3273 0.0000
P 0.3490 0.5988 0.5000
P 0.4740 0.9160 0.5000
P 0.5260 0.0840 0.5000
P 0.6510 0.4012 0.5000
P 0.6607 0.6727 0.0000
P 0.8393 0.1727 0.0000
P 0.8490 0.9012 0.5000
P 0.9740 0.5840 0.5000

No. 2
Theoretical X-ray powder pattern of La3Pr8Dy for Cu Kα (λ = 1.5418 Å), from a structure optimized by DFT (PBE).

Peak list (6 most intense, 10 to 90 degrees two-theta, in order of rising 2θ)
- 2θ = 30.2°, intensity 45
- 2θ = 30.5°, intensity 38
- 2θ = 30.6°, intensity 100
- 2θ = 34.3°, intensity 33
- 2θ = 43.6°, intensity 24
- 2θ = 53.9°, intensity 23

Structure:
Cell lengths 8.9463, 8.9463, 8.9463 Å; angles 135.73, 99.05, 97.28 degrees
Sites, in units of the cell vectors:
La 0.0000 0.0000 0.0000
La 0.2557 0.7557 0.5000
La 0.7443 0.2443 0.5000
Pr 0.0867 0.2520 0.8346
Pr 0.2604 0.2405 0.5009
Pr 0.2604 0.7595 0.0199
Pr 0.4174 0.2520 0.1654
Pr 0.5826 0.7480 0.8346
Pr 0.7396 0.2405 0.9801
Pr 0.7396 0.7595 0.4991
Pr 0.9133 0.7480 0.1654
Dy 0.5000 0.5000 0.0000

No. 3
Theoretical X-ray powder pattern of DyFe2Co2B for Cu Kα (λ = 1.5418 Å), from a structure optimized by DFT (PBE).

Peak list (6 most intense, 10 to 90 degrees two-theta, in order of rising 2θ)
- 2θ = 33.2°, intensity 100
- 2θ = 35.5°, intensity 23
- 2θ = 41.1°, intensity 27
- 2θ = 41.4°, intensity 53
- 2θ = 44.5°, intensity 71
- 2θ = 44.7°, intensity 40

Structure:
Cell lengths 5.0581, 5.0581, 6.8641 Å; angles 90.00, 90.00, 120.39 degrees
Sites, in units of the cell vectors:
Dy 0.0000 0.0000 0.0000
Dy 0.0000 0.0000 0.4926
Fe 0.0000 0.5000 0.7803
Fe 0.3318 0.6682 0.4896
Fe 0.5000 0.0000 0.7803
Fe 0.6682 0.3318 0.4896
Co 0.0000 0.5000 0.2035
Co 0.5000 0.0000 0.2035
Co 0.5000 0.5000 0.2058
Co 0.5000 0.5000 0.7795
B 0.3356 0.6644 0.9960
B 0.6644 0.3356 0.9960

No. 4
Theoretical X-ray powder pattern of HoH4IrPt2 for Cu Kα (λ = 1.5418 Å), from a structure optimized by DFT (PBE).

Peak list (6 most intense, 10 to 90 degrees two-theta, in order of rising 2θ)
- 2θ = 33.3°, intensity 100
- 2θ = 37.8°, intensity 72
- 2θ = 39.8°, intensity 31
- 2θ = 40.5°, intensity 30
- 2θ = 43.6°, intensity 23
- 2θ = 60.5°, intensity 18

Structure:
Cell lengths 5.0706, 5.0706, 4.5412 Å; angles 111.14, 111.14, 109.98 degrees
Sites, in units of the cell vectors:
Ho 0.0000 0.0000 0.0000
H 0.1845 0.4334 0.6072
H 0.4953 0.0486 0.9890
H 0.5666 0.8155 0.3928
H 0.9514 0.5047 0.0110
Ir 0.2505 0.7495 0.5000
Pt 0.5177 0.4823 0.0000
Pt 0.7383 0.2617 0.5000

No. 5
Theoretical X-ray powder pattern of SmTmInPb for Cu Kα (λ = 1.5418 Å), from a structure optimized by DFT (PBE).

Peak list (6 most intense, 10 to 90 degrees two-theta, in order of rising 2θ)
- 2θ = 32.4°, intensity 100
- 2θ = 36.1°, intensity 38
- 2θ = 40.4°, intensity 14
- 2θ = 51.9°, intensity 13
- 2θ = 55.3°, intensity 22
- 2θ = 62.6°, intensity 30

Structure:
Cell lengths 5.6825, 5.6825, 5.6825 Å; angles 128.04, 128.04, 76.56 degrees
Sites, in units of the cell vectors:
Sm 0.0000 0.0000 0.0000
Tm 0.5000 0.5000 0.0000
In 0.2500 0.7500 0.5000
Pb 0.7500 0.2500 0.5000

No. 6
Theoretical X-ray powder pattern of ZrTaAl4 for Cu Kα (λ = 1.5418 Å), from a structure optimized by DFT (PBE).

Peak list (6 most intense, 10 to 90 degrees two-theta, in order of rising 2θ)
- 2θ = 20.9°, intensity 63
- 2θ = 34.4°, intensity 91
- 2θ = 40.6°, intensity 100
- 2θ = 61.6°, intensity 33
- 2θ = 65.8°, intensity 32
- 2θ = 72.5°, intensity 20

Structure:
Cell lengths 5.2149, 5.2149, 5.2149 Å; angles 60.00, 60.00, 60.00 degrees
Sites, in units of the cell vectors:
Zr 0.0000 0.0000 0.0000
Ta 0.7500 0.7500 0.7500
Al 0.3751 0.3751 0.3751
Al 0.3751 0.3751 0.8747
Al 0.3751 0.8747 0.3751
Al 0.8747 0.3751 0.3751

No. 7
Theoretical X-ray powder pattern of Na5B7C3 for Cu Kα (λ = 1.5418 Å), from a structure optimized by DFT (PBE).

Peak list (6 most intense, 10 to 90 degrees two-theta, in order of rising 2θ)
- 2θ = 36.2°, intensity 12
- 2θ = 40.9°, intensity 36
- 2θ = 42.1°, intensity 100
- 2θ = 63.4°, intensity 12
- 2θ = 77.1°, intensity 9
- 2θ = 79.2°, intensity 12

Structure:
Cell lengths 8.5679, 12.9399, 12.9399 Å; angles 12.55, 90.00, 90.00 degrees
Sites, in units of the cell vectors:
Na 0.2441 0.0000 0.0000
Na 0.2473 0.2021 0.2021
Na 0.2485 0.6012 0.6012
Na 0.2495 0.4007 0.4007
Na 0.2495 0.8020 0.8020
Na 0.7505 0.4007 0.4007
Na 0.7505 0.8020 0.8020
Na 0.7515 0.6012 0.6012
Na 0.7527 0.2021 0.2021
Na 0.7559 0.0000 0.0000
B 0.0000 0.0714 0.0714
B 0.0000 0.2744 0.2744
B 0.0000 0.4624 0.4624
B 0.0000 0.5321 0.5321
B 0.0000 0.6653 0.6653
B 0.0000 0.7348 0.7348
B 0.0000 0.8679 0.8679
B 0.5000 0.0665 0.0665
B 0.5000 0.1314 0.1314
B 0.5000 0.3371 0.3371
B 0.5000 0.5230 0.5230
B 0.5000 0.6747 0.6747
B 0.5000 0.7429 0.7429
B 0.5000 0.9309 0.9309
C 0.0000 0.1343 0.1343
C 0.0000 0.3368 0.3368
C 0.0000 0.9315 0.9315
C 0.5000 0.2741 0.2741
C 0.5000 0.4628 0.4628
C 0.5000 0.8685 0.8685

No. 8
Theoretical X-ray powder pattern of Ca4Mg3Zn2 for Cu Kα (λ = 1.5418 Å), from a structure optimized by DFT (PBE).

Peak list (6 most intense, 10 to 90 degrees two-theta, in order of rising 2θ)
- 2θ = 12.4°, intensity 100
- 2θ = 31.6°, intensity 72
- 2θ = 32.5°, intensity 72
- 2θ = 34.0°, intensity 73
- 2θ = 35.4°, intensity 55
- 2θ = 40.4°, intensity 53

Structure:
Cell lengths 8.4321, 8.4321, 7.5414 Å; angles 107.84, 107.84, 30.69 degrees
Sites, in units of the cell vectors:
Ca 0.0797 0.0797 0.3540
Ca 0.2688 0.2688 0.8095
Ca 0.7312 0.7312 0.1905
Ca 0.9203 0.9203 0.6460
Mg 0.4078 0.4078 0.2999
Mg 0.5000 0.5000 0.0000
Mg 0.5922 0.5922 0.7001
Zn 0.1057 0.1057 0.9510
Zn 0.8943 0.8943 0.0490

No. 9
Theoretical X-ray powder pattern of Tb3Sb4Ir3 for Cu Kα (λ = 1.5418 Å), from a structure optimized by DFT (PBE).

Peak list (6 most intense, 10 to 90 degrees two-theta, in order of rising 2θ)
- 2θ = 22.2°, intensity 34
- 2θ = 34.3°, intensity 100
- 2θ = 41.2°, intensity 55
- 2θ = 43.3°, intensity 18
- 2θ = 45.4°, intensity 15
- 2θ = 70.7°, intensity 18

Structure:
Cell lengths 8.4791, 8.4791, 8.4791 Å; angles 109.47, 109.47, 109.47 degrees
Sites, in units of the cell vectors:
Tb 0.1250 0.7500 0.8750
Tb 0.2500 0.6250 0.3750
Tb 0.3750 0.2500 0.6250
Tb 0.6250 0.3750 0.2500
Tb 0.7500 0.8750 0.1250
Tb 0.8750 0.1250 0.7500
Sb 0.0000 0.3519 0.5000
Sb 0.0000 0.8519 0.5000
Sb 0.1481 0.1481 0.1481
Sb 0.3519 0.5000 0.0000
Sb 0.5000 0.0000 0.3519
Sb 0.5000 0.0000 0.8519
Sb 0.6481 0.6481 0.6481
Sb 0.8519 0.5000 0.0000
Ir 0.1250 0.8750 0.2500
Ir 0.2500 0.1250 0.8750
Ir 0.3750 0.6250 0.7500
Ir 0.6250 0.7500 0.3750
Ir 0.7500 0.3750 0.6250
Ir 0.8750 0.2500 0.1250

No. 10
Theoretical X-ray powder pattern of AcTl5Hg8 for Cu Kα (λ = 1.5418 Å), from a structure optimized by DFT (PBE).

Peak list (6 most intense, 10 to 90 degrees two-theta, in order of rising 2θ)
- 2θ = 29.5°, intensity 33
- 2θ = 29.7°, intensity 68
- 2θ = 30.0°, intensity 100
- 2θ = 30.2°, intensity 60
- 2θ = 35.2°, intensity 52
- 2θ = 36.0°, intensity 40

Structure:
Cell lengths 7.9692, 7.9692, 9.3644 Å; angles 122.81, 122.81, 72.37 degrees
Sites, in units of the cell vectors:
Ac 0.0000 0.0000 0.0000
Tl 0.0799 0.3785 0.8623
Tl 0.2432 0.7568 0.5000
Tl 0.4726 0.2224 0.5634
Tl 0.6215 0.9201 0.1377
Tl 0.7776 0.5274 0.4366
Hg 0.0328 0.1409 0.4269
Hg 0.2553 0.6190 0.7745
Hg 0.3713 0.3184 0.2334
Hg 0.3810 0.7447 0.2255
Hg 0.5138 0.1632 0.8968
Hg 0.6816 0.6287 0.7666
Hg 0.8368 0.4862 0.1032
Hg 0.8591 0.9672 0.5731

No. 11
Theoretical X-ray powder pattern of Rb3Cd2Sn2 for Cu Kα (λ = 1.5418 Å), from a structure optimized by DFT (PBE).

Peak list (6 most intense, 10 to 90 degrees two-theta, in order of rising 2θ)
- 2θ = 16.3°, intensity 35
- 2θ = 26.1°, intensity 24
- 2θ = 27.9°, intensity 22
- 2θ = 29.1°, intensity 25
- 2θ = 31.0°, intensity 100
- 2θ = 31.6°, intensity 25

Structure:
Cell lengths 7.3375, 9.4110, 16.2346 Å; angles 90.00, 90.00, 90.00 degrees
Sites, in units of the cell vectors:
Rb 0.1180 0.1094 0.1021
Rb 0.1180 0.1094 0.3979
Rb 0.1180 0.3906 0.6021
Rb 0.1180 0.3906 0.8979
Rb 0.3226 0.7250 0.7500
Rb 0.3226 0.7750 0.2500
Rb 0.6774 0.2250 0.7500
Rb 0.6774 0.2750 0.2500
Rb 0.8820 0.6094 0.1021
Rb 0.8820 0.6094 0.3979
Rb 0.8820 0.8906 0.6021
Rb 0.8820 0.8906 0.8979
Cd 0.3867 0.0334 0.5956
Cd 0.3867 0.0334 0.9044
Cd 0.3867 0.4666 0.0956
Cd 0.3867 0.4666 0.4044
Cd 0.6133 0.5334 0.5956
Cd 0.6133 0.5334 0.9044
Cd 0.6133 0.9666 0.0956
Cd 0.6133 0.9666 0.4044
Sn 0.1936 0.0935 0.7500
Sn 0.1936 0.4065 0.2500
Sn 0.4002 0.7500 0.0000
Sn 0.4002 0.7500 0.5000
Sn 0.5998 0.2500 0.0000
Sn 0.5998 0.2500 0.5000
Sn 0.8064 0.5935 0.7500
Sn 0.8064 0.9065 0.2500

No. 12
Theoretical X-ray powder pattern of Pa2Al for Cu Kα (λ = 1.5418 Å), from a structure optimized by DFT (PBE).

Peak list (6 most intense, 10 to 90 degrees two-theta, in order of rising 2θ)
- 2θ = 10.4°, intensity 86
- 2θ = 27.3°, intensity 45
- 2θ = 33.4°, intensity 63
- 2θ = 35.3°, intensity 56
- 2θ = 36.2°, intensity 100
- 2θ = 37.9°, intensity 93

Structure:
Cell lengths 8.6698, 8.6698, 5.0910 Å; angles 90.00, 90.00, 159.76 degrees
Sites, in units of the cell vectors:
Pa 0.1191 0.8809 0.7500
Pa 0.2030 0.7970 0.2500
Pa 0.7970 0.2030 0.7500
Pa 0.8809 0.1191 0.2500
Al 0.4568 0.5432 0.7500
Al 0.5432 0.4568 0.2500